Diffraction record for NiI. The powder diffraction line list is simulated, not measured: it uses DFT lattice parameters and positions (PBE) and a wavelength of 1.5418 Å.
Intensities are scaled so that the largest is 100.

Most intense lines, 5 to 70 degrees two-theta, in order of falling intensity:
(hkl)  2theta  intensity
1 0 1  28.5  100
1 0 0  25.4  90
1 0 3  47.4  89
1 1 0  44.7  76
0 0 2  25.9  56
1 1 2  52.4  46
1 0 2  36.6  33
2 0 3  67.2  30
2 0 1  53.9  17
2 0 0  52.1  12

Structural model:
Cell lengths 4.0555, 4.0555, 6.8725 Å; angles 90.00, 90.00, 120.00 degrees
Space group P6_3mc (No. 186)
One atom of each set of equivalent atoms:
Ni 0.3333 0.6667 0.0000 (multiplicity 2)
I 0.3333 0.6667 0.6354 (multiplicity 2)